Starting from the PBE geometry in Alexandria, the PXRD pattern of TcB6N6 was calculated for Cu Kα.
Kinematic intensities with the Lorentz-polarization factor, no thermal factor.

Structure:
Cell: 4.587 4.587 4.587 Å, 90.00 90.00 90.00°
Atoms (fractional coordinates):
Tc 0.000 0.000 0.000
B 0.000 0.243 0.500
B 0.000 0.757 0.500
B 0.243 0.500 0.000
B 0.500 0.000 0.243
B 0.500 0.000 0.757
B 0.757 0.500 0.000
N 0.000 0.500 0.253
N 0.000 0.500 0.747
N 0.253 0.000 0.500
N 0.500 0.253 0.000
N 0.500 0.747 0.000
N 0.747 0.000 0.500

Peak list (12 most intense, 2θ from 10° to 90°, low angle first)
| 2θ/deg | intensity | h k l |
| --- | --- | --- |
| 19.4 | 100 | 1 0 0 |
| 27.5 | 24 | 1 1 0 |
| 33.8 | 31 | 1 1 1 |
| 39.3 | 31 | 2 0 0 |
| 44.2 | 47 | 2 0 1 |
| 48.6 | 63 | 2 1 1 |
| 60.6 | 21 | 2 2 1 |
| 64.2 | 6 | 3 1 0 |
| 67.8 | 12 | 3 1 1 |
| 74.6 | 9 | 3 2 0 |
| 77.9 | 28 | 3 1 2 |
| 87.7 | 12 | 4 1 0 |